No. 1
Diffraction record for KH2OsNCl4. The PXRD pattern is theoretical, not measured: it uses a DFT-relaxed cell (GGA-PBE, the Materials Project) and copper Kα.
Intensities are scaled so that the largest is 100.

Peak list (8 most intense, 2θ from 10° to 90°, sorted by position)
d 7.302, rel. 52
d 5.294, rel. 100
d 5.093, rel. 94
d 3.843, rel. 43
d 3.298, rel. 54
d 2.673, rel. 24
d 2.525, rel. 26
d 1.916, rel. 17

```
data_KH2OsNCl4
_chemical_formula_sum 'K2 H4 Os2 N2 Cl8'
_space_group_name_H-M_alt 'P 1'
_space_group_IT_number 1
_space_group_name_Hall 'P 1'
_cell_length_a 8.060
_cell_length_b 8.060
_cell_length_c 7.687
_cell_angle_alpha 90.00
_cell_angle_beta 90.00
_cell_angle_gamma 115.05
loop_
_atom_site_label
_atom_site_fract_x
_atom_site_fract_y
_atom_site_fract_z
K1 0.147 0.853 0.500
K2 0.853 0.147 0.000
H1 0.073 0.927 0.144
H2 0.357 0.643 0.589
H3 0.643 0.357 0.089
H4 0.927 0.073 0.644
Os1 0.345 0.655 0.941
Os2 0.655 0.345 0.441
N1 0.338 0.662 0.156
N2 0.662 0.338 0.656
Cl1 0.045 0.588 0.854
Cl2 0.281 0.350 0.879
Cl3 0.350 0.281 0.379
Cl4 0.412 0.955 0.854
Cl5 0.588 0.045 0.354
Cl6 0.650 0.719 0.879
Cl7 0.719 0.650 0.379
Cl8 0.955 0.412 0.354
```

No. 2
Diffraction record for Eu2MgSe4. The PXRD pattern is theoretical, not measured: it uses a DFT-relaxed cell (GGA-PBE, the Materials Project) and copper Kα.
Intensities are scaled so that the largest is 100.

Peak list (8 most intense, 2θ from 10° to 90°, sorted by position)
d 6.377, rel. 27
d 4.297, rel. 25
d 2.974, rel. 58
d 2.743, rel. 38
d 2.718, rel. 100
d 2.446, rel. 89
d 2.312, rel. 32
d 1.905, rel. 30

```
data_Eu2MgSe4
_chemical_formula_sum 'Eu4 Mg2 Se8'
_space_group_name_H-M_alt 'P 1'
_space_group_IT_number 1
_space_group_name_Hall 'P 1'
_cell_length_a 7.717
_cell_length_b 7.717
_cell_length_c 7.717
_cell_angle_alpha 112.32
_cell_angle_beta 112.32
_cell_angle_gamma 103.91
loop_
_atom_site_label
_atom_site_fract_x
_atom_site_fract_y
_atom_site_fract_z
Eu1 0.000 0.625 0.875
Eu2 0.375 0.250 0.375
Eu3 0.750 0.125 0.125
Eu4 0.875 0.000 0.625
Mg1 0.250 0.750 0.500
Mg2 0.500 0.500 0.000
Se1 0.010 0.886 0.277
Se2 0.114 0.391 0.124
Se3 0.141 0.364 0.624
Se4 0.267 0.990 0.876
Se5 0.483 0.859 0.223
Se6 0.609 0.733 0.723
Se7 0.636 0.260 0.777
Se8 0.740 0.517 0.376
```

No. 3
Diffraction record for DyRh5. The PXRD pattern is theoretical, not measured: it uses a DFT-relaxed cell (GGA-PBE, the Materials Project) and copper Kα.
Intensities are scaled so that the largest is 100.

Peak list (8 most intense, 2θ from 10° to 90°, sorted by position)
d 3.135, rel. 28
d 2.621, rel. 24
d 2.270, rel. 31
d 2.243, rel. 100
d 2.167, rel. 31
d 2.011, rel. 21
d 1.429, rel. 23
d 1.122, rel. 22

```
data_DyRh5
_chemical_formula_sum 'Dy1 Rh5'
_space_group_name_H-M_alt 'P 1'
_space_group_IT_number 1
_space_group_name_Hall 'P 1'
_cell_length_a 5.243
_cell_length_b 5.243
_cell_length_c 4.335
_cell_angle_alpha 90.00
_cell_angle_beta 90.00
_cell_angle_gamma 120.00
loop_
_atom_site_label
_atom_site_fract_x
_atom_site_fract_y
_atom_site_fract_z
Dy1 0.000 0.000 0.000
Rh1 0.000 0.500 0.500
Rh2 0.333 0.667 0.000
Rh3 0.500 0.000 0.500
Rh4 0.500 0.500 0.500
Rh5 0.667 0.333 0.000
```

No. 4
Diffraction record for Cs3Zr2P5S18. The PXRD pattern is theoretical, not measured: it uses a DFT-relaxed cell (GGA-PBE, the Materials Project) and copper Kα.
Intensities are scaled so that the largest is 100.

Peak list (8 most intense, 2θ from 10° to 90°, sorted by position)
d 5.607, rel. 37
d 5.082, rel. 100
d 4.810, rel. 74
d 3.475, rel. 43
d 3.444, rel. 58
d 3.071, rel. 36
d 2.956, rel. 50
d 2.899, rel. 40

```
data_Cs3Zr2P5S18
_chemical_formula_sum 'Cs6 Zr4 P10 S36'
_space_group_name_H-M_alt 'P 1'
_space_group_IT_number 1
_space_group_name_Hall 'P 1'
_cell_length_a 7.054
_cell_length_b 7.054
_cell_length_c 34.548
_cell_angle_alpha 93.14
_cell_angle_beta 93.14
_cell_angle_gamma 93.67
loop_
_atom_site_label
_atom_site_fract_x
_atom_site_fract_y
_atom_site_fract_z
Cs1 0.095 0.905 0.500
Cs2 0.280 0.559 0.891
Cs3 0.400 0.616 0.704
Cs4 0.559 0.280 0.391
Cs5 0.616 0.400 0.204
Cs6 0.905 0.095 0.000
Zr1 0.145 0.970 0.291
Zr2 0.158 0.743 0.100
Zr3 0.743 0.158 0.600
Zr4 0.970 0.145 0.791
P1 0.050 0.424 0.310
P2 0.179 0.882 0.195
P3 0.267 0.778 0.374
P4 0.369 0.809 0.017
P5 0.424 0.050 0.810
P6 0.627 0.692 0.581
P7 0.692 0.627 0.081
P8 0.778 0.267 0.874
P9 0.809 0.369 0.517
P10 0.882 0.179 0.695
S1 0.034 0.259 0.649
S2 0.076 0.979 0.365
S3 0.101 0.504 0.371
S4 0.110 0.614 0.170
S5 0.139 0.629 0.026
S6 0.200 0.852 0.806
S7 0.259 0.034 0.149
S8 0.296 0.321 0.291
S9 0.321 0.296 0.791
S10 0.372 0.993 0.065
S11 0.387 0.925 0.966
S12 0.392 0.889 0.238
S13 0.413 0.779 0.424
S14 0.421 0.796 0.325
S15 0.435 0.893 0.586
S16 0.460 0.539 0.110
S17 0.504 0.101 0.871
S18 0.539 0.460 0.610
S19 0.614 0.110 0.670
S20 0.618 0.642 0.020
S21 0.629 0.139 0.526
S22 0.639 0.946 0.780
S23 0.642 0.618 0.520
S24 0.779 0.413 0.924
S25 0.796 0.421 0.825
S26 0.823 0.884 0.101
S27 0.852 0.200 0.306
S28 0.884 0.823 0.601
S29 0.889 0.392 0.738
S30 0.893 0.435 0.086
S31 0.925 0.387 0.466
S32 0.946 0.639 0.280
S33 0.961 0.996 0.224
S34 0.979 0.076 0.865
S35 0.993 0.372 0.565
S36 0.996 0.961 0.724
```

No. 5
Diffraction record for Dy3TaO7. The PXRD pattern is theoretical, not measured: it uses a DFT-relaxed cell (GGA-PBE, the Materials Project) and copper Kα.
Intensities are scaled so that the largest is 100.

Peak list (8 most intense, 2θ from 10° to 90°, sorted by position)
d 3.063, rel. 100
d 2.657, rel. 24
d 2.643, rel. 11
d 1.879, rel. 15
d 1.874, rel. 28
d 1.601, rel. 27
d 1.596, rel. 12
d 1.531, rel. 9

```
data_Dy3TaO7
_chemical_formula_sum 'Dy6 Ta2 O14'
_space_group_name_H-M_alt 'P 1'
_space_group_IT_number 1
_space_group_name_Hall 'P 1'
_cell_length_a 6.487
_cell_length_b 6.487
_cell_length_c 7.511
_cell_angle_alpha 90.00
_cell_angle_beta 90.00
_cell_angle_gamma 109.17
loop_
_atom_site_label
_atom_site_fract_x
_atom_site_fract_y
_atom_site_fract_z
Dy1 0.025 0.025 0.000
Dy2 0.035 0.500 0.254
Dy3 0.500 0.035 0.746
Dy4 0.500 0.965 0.246
Dy5 0.965 0.500 0.754
Dy6 0.975 0.975 0.500
Ta1 0.498 0.498 0.500
Ta2 0.502 0.502 0.000
O1 0.129 0.871 0.750
O2 0.138 0.862 0.250
O3 0.174 0.420 0.971
O4 0.185 0.440 0.538
O5 0.420 0.174 0.029
O6 0.432 0.568 0.250
O7 0.440 0.185 0.462
O8 0.560 0.815 0.962
O9 0.568 0.432 0.750
O10 0.580 0.826 0.529
O11 0.815 0.560 0.038
O12 0.826 0.580 0.471
O13 0.862 0.138 0.750
O14 0.871 0.129 0.250
```

No. 6
Diffraction record for ScAl3. The PXRD pattern is theoretical, not measured: it uses a DFT-relaxed cell (GGA-PBE, the Materials Project) and copper Kα.
Intensities are scaled so that the largest is 100.

Peak list (8 most intense, 2θ from 10° to 90°, sorted by position)
d 2.394, rel. 100
d 2.212, rel. 20
d 2.013, rel. 29
d 1.489, rel. 21
d 1.423, rel. 9
d 1.309, rel. 13
d 1.223, rel. 21
d 1.197, rel. 10

```
data_ScAl3
_chemical_formula_sum 'Sc2 Al6'
_space_group_name_H-M_alt 'P 1'
_space_group_IT_number 1
_space_group_name_Hall 'P 1'
_cell_length_a 4.026
_cell_length_b 4.026
_cell_length_c 8.846
_cell_angle_alpha 90.00
_cell_angle_beta 90.00
_cell_angle_gamma 90.00
loop_
_atom_site_label
_atom_site_fract_x
_atom_site_fract_y
_atom_site_fract_z
Sc1 0.000 0.000 0.000
Sc2 0.500 0.500 0.500
Al1 0.000 0.000 0.500
Al2 0.000 0.500 0.250
Al3 0.000 0.500 0.750
Al4 0.500 0.000 0.250
Al5 0.500 0.000 0.750
Al6 0.500 0.500 0.000
```

No. 7
Diffraction record for LiEuP4O12. The PXRD pattern is theoretical, not measured: it uses a DFT-relaxed cell (GGA-PBE, the Materials Project) and copper Kα.
Intensities are scaled so that the largest is 100.

Peak list (8 most intense, 2θ from 10° to 90°, sorted by position)
d 6.713, rel. 41
d 5.815, rel. 43
d 4.396, rel. 100
d 3.980, rel. 76
d 3.276, rel. 39
d 2.996, rel. 26
d 2.907, rel. 39
d 2.777, rel. 53

```
data_LiEuP4O12
_chemical_formula_sum 'Li2 Eu2 P8 O24'
_space_group_name_H-M_alt 'P 1'
_space_group_IT_number 1
_space_group_name_Hall 'P 1'
_cell_length_a 9.074
_cell_length_b 9.074
_cell_length_c 9.889
_cell_angle_alpha 122.95
_cell_angle_beta 122.95
_cell_angle_gamma 46.67
loop_
_atom_site_label
_atom_site_fract_x
_atom_site_fract_y
_atom_site_fract_z
Li1 0.202 0.798 0.750
Li2 0.798 0.202 0.250
Eu1 0.300 0.700 0.250
Eu2 0.700 0.300 0.750
P1 0.083 0.194 0.162
P2 0.194 0.083 0.662
P3 0.195 0.509 0.402
P4 0.491 0.805 0.098
P5 0.509 0.195 0.902
P6 0.805 0.491 0.598
P7 0.806 0.917 0.338
P8 0.917 0.806 0.838
O1 0.038 0.281 0.587
O2 0.059 0.075 0.204
O3 0.075 0.059 0.704
O4 0.101 0.671 0.954
O5 0.160 0.330 0.342
O6 0.256 0.488 0.276
O7 0.281 0.038 0.087
O8 0.329 0.899 0.546
O9 0.330 0.160 0.842
O10 0.330 0.522 0.581
O11 0.478 0.670 0.919
O12 0.488 0.256 0.776
O13 0.512 0.744 0.224
O14 0.522 0.330 0.081
O15 0.670 0.478 0.419
O16 0.670 0.840 0.158
O17 0.671 0.101 0.454
O18 0.719 0.962 0.913
O19 0.744 0.512 0.724
O20 0.840 0.670 0.658
O21 0.899 0.329 0.046
O22 0.925 0.941 0.296
O23 0.941 0.925 0.796
O24 0.962 0.719 0.413
```

No. 8
Diffraction record for AlP3O9. The PXRD pattern is theoretical, not measured: it uses a DFT-relaxed cell (GGA-PBE, the Materials Project) and copper Kα.
Intensities are scaled so that the largest is 100.

Peak list (8 most intense, 2θ from 10° to 90°, sorted by position)
d 5.945, rel. 12
d 5.529, rel. 100
d 5.181, rel. 24
d 4.464, rel. 22
d 3.810, rel. 18
d 3.542, rel. 16
d 2.919, rel. 16
d 2.844, rel. 12

```
data_AlP3O9
_chemical_formula_sum 'Al4 P12 O36'
_space_group_name_H-M_alt 'P 1'
_space_group_IT_number 1
_space_group_name_Hall 'P 1'
_cell_length_a 6.158
_cell_length_b 15.241
_cell_length_c 8.288
_cell_angle_alpha 90.00
_cell_angle_beta 105.11
_cell_angle_gamma 90.00
loop_
_atom_site_label
_atom_site_fract_x
_atom_site_fract_y
_atom_site_fract_z
Al1 0.115 0.138 0.377
Al2 0.115 0.362 0.877
Al3 0.885 0.638 0.123
Al4 0.885 0.862 0.623
P1 0.145 0.044 0.718
P2 0.145 0.456 0.218
P3 0.201 0.163 0.017
P4 0.201 0.337 0.517
P5 0.415 0.613 0.210
P6 0.415 0.887 0.710
P7 0.585 0.113 0.290
P8 0.585 0.387 0.790
P9 0.799 0.663 0.483
P10 0.799 0.837 0.983
P11 0.855 0.544 0.782
P12 0.855 0.956 0.282
O1 0.055 0.015 0.339
O2 0.055 0.485 0.839
O3 0.065 0.154 0.142
O4 0.065 0.346 0.642
O5 0.150 0.076 0.903
O6 0.150 0.424 0.403
O7 0.165 0.121 0.611
O8 0.165 0.379 0.111
O9 0.175 0.242 0.908
O10 0.175 0.258 0.408
O11 0.194 0.659 0.145
O12 0.194 0.841 0.645
O13 0.375 0.512 0.254
O14 0.375 0.988 0.754
O15 0.423 0.115 0.398
O16 0.423 0.385 0.898
O17 0.466 0.153 0.108
O18 0.466 0.347 0.608
O19 0.534 0.653 0.392
O20 0.534 0.847 0.892
O21 0.577 0.615 0.102
O22 0.577 0.885 0.602
O23 0.625 0.012 0.246
O24 0.625 0.488 0.746
O25 0.806 0.159 0.355
O26 0.806 0.341 0.855
O27 0.825 0.742 0.592
O28 0.825 0.758 0.092
O29 0.835 0.621 0.889
O30 0.835 0.879 0.389
O31 0.850 0.576 0.597
O32 0.850 0.924 0.097
O33 0.935 0.654 0.358
O34 0.935 0.846 0.858
O35 0.945 0.515 0.161
O36 0.945 0.985 0.661
```

No. 9
Diffraction record for Be2IrPt. The PXRD pattern is theoretical, not measured: it uses a DFT-relaxed cell (GGA-PBE, the Materials Project) and copper Kα.
Intensities are scaled so that the largest is 100.

Peak list (6 most intense, 2θ from 10° to 90°, sorted by position)
d 2.820, rel. 100
d 1.994, rel. 85
d 1.628, rel. 27
d 1.410, rel. 14
d 1.261, rel. 35
d 1.151, rel. 30

```
data_Be2IrPt
_chemical_formula_sum 'Be8 Ir4 Pt4'
_space_group_name_H-M_alt 'P 1'
_space_group_IT_number 1
_space_group_name_Hall 'P 1'
_cell_length_a 5.640
_cell_length_b 5.640
_cell_length_c 5.640
_cell_angle_alpha 90.00
_cell_angle_beta 90.00
_cell_angle_gamma 90.00
loop_
_atom_site_label
_atom_site_fract_x
_atom_site_fract_y
_atom_site_fract_z
Be1 0.250 0.250 0.250
Be2 0.250 0.250 0.750
Be3 0.250 0.750 0.250
Be4 0.250 0.750 0.750
Be5 0.750 0.250 0.250
Be6 0.750 0.250 0.750
Be7 0.750 0.750 0.250
Be8 0.750 0.750 0.750
Ir1 0.000 0.000 0.000
Ir2 0.000 0.500 0.500
Ir3 0.500 0.000 0.500
Ir4 0.500 0.500 0.000
Pt1 0.000 0.000 0.500
Pt2 0.000 0.500 0.000
Pt3 0.500 0.000 0.000
Pt4 0.500 0.500 0.500
```

No. 10
Diffraction record for SrTm2O4. The PXRD pattern is theoretical, not measured: it uses a DFT-relaxed cell (GGA-PBE, the Materials Project) and copper Kα.
Intensities are scaled so that the largest is 100.

Peak list (8 most intense, 2θ from 10° to 90°, sorted by position)
d 2.963, rel. 49
d 2.921, rel. 100
d 2.815, rel. 90
d 2.802, rel. 42
d 2.036, rel. 41
d 2.018, rel. 25
d 1.680, rel. 30
d 1.461, rel. 38

```
data_SrTm2O4
_chemical_formula_sum 'Sr4 Tm8 O16'
_space_group_name_H-M_alt 'P 1'
_space_group_IT_number 1
_space_group_name_Hall 'P 1'
_cell_length_a 10.072
_cell_length_b 3.373
_cell_length_c 11.851
_cell_angle_alpha 90.00
_cell_angle_beta 90.00
_cell_angle_gamma 90.00
loop_
_atom_site_label
_atom_site_fract_x
_atom_site_fract_y
_atom_site_fract_z
Sr1 0.246 0.250 0.150
Sr2 0.254 0.750 0.650
Sr3 0.746 0.250 0.350
Sr4 0.754 0.750 0.850
Tm1 0.074 0.250 0.388
Tm2 0.078 0.250 0.891
Tm3 0.422 0.750 0.391
Tm4 0.426 0.750 0.888
Tm5 0.574 0.250 0.112
Tm6 0.578 0.250 0.609
Tm7 0.922 0.750 0.109
Tm8 0.926 0.750 0.612
O1 0.018 0.750 0.784
O2 0.075 0.250 0.576
O3 0.122 0.750 0.021
O4 0.210 0.750 0.330
O5 0.290 0.250 0.830
O6 0.378 0.250 0.521
O7 0.425 0.750 0.076
O8 0.482 0.250 0.284
O9 0.518 0.750 0.716
O10 0.575 0.250 0.924
O11 0.622 0.750 0.479
O12 0.710 0.750 0.170
O13 0.790 0.250 0.670
O14 0.878 0.250 0.979
O15 0.925 0.750 0.424
O16 0.982 0.250 0.216
```